Record 1
# DyHoCu2Bi4
Theoretical X-ray powder pattern, CuKα. Input: a cell relaxed with GGA-PBE.
Kinematic intensities with the Lorentz-polarization factor, no thermal factor.

Structural model:
Unit cell a=4.5356 b=4.5356 c=9.5889 alpha=90.00 beta=90.00 gamma=90.00
Element x y z (fractional)
Dy: 0.0000 0.0000 0.0000
Ho: 0.5000 0.5000 0.5307
Cu: 0.0000 0.5000 0.7643
Cu: 0.5000 0.0000 0.7643
Bi: 0.0000 0.0000 0.5964
Bi: 0.0000 0.5000 0.2657
Bi: 0.5000 0.0000 0.2657
Bi: 0.5000 0.5000 0.9326

Top 10 peaks for 10 to 90 degrees two-theta, most intense first:
2θ (°)	I_rel
33.62	100
39.75	48
29.37	31
68.25	26
27.90	23
49.27	18
55.83	18
57.47	16
27.06	13
51.75	10

Record 2
# LaDyCu2Bi4
Theoretical X-ray powder pattern, CuKα. Input: a cell relaxed with GGA-PBE.
Kinematic intensities with the Lorentz-polarization factor, no thermal factor.

Structural model:
Unit cell a=4.5846 b=4.5846 c=9.8836 alpha=90.00 beta=90.00 gamma=90.00
Element x y z (fractional)
La: 0.0000 0.0000 0.0000
Dy: 0.5000 0.5000 0.5273
Cu: 0.0000 0.5000 0.7540
Cu: 0.5000 0.0000 0.7540
Bi: 0.0000 0.0000 0.5943
Bi: 0.0000 0.5000 0.2700
Bi: 0.5000 0.0000 0.2700
Bi: 0.5000 0.5000 0.9166

Top 10 peaks for 10 to 90 degrees two-theta, most intense first:
2θ (°)	I_rel
33.05	100
39.30	48
28.99	36
67.31	26
27.07	22
48.37	19
26.52	17
56.80	17
50.26	13
65.60	12

Record 3
# CuBiSbF
Theoretical X-ray powder pattern, CuKα. Input: a cell relaxed with GGA-PBE.
Kinematic intensities with the Lorentz-polarization factor, no thermal factor.

Structural model:
Unit cell a=6.0977 b=6.5822 c=8.3112 alpha=90.00 beta=90.00 gamma=90.00
Element x y z (fractional)
Cu: 0.2441 0.0719 0.4845
Cu: 0.2559 0.9281 0.9845
Cu: 0.7441 0.4281 0.5155
Cu: 0.7559 0.5719 0.0155
Bi: 0.0713 0.2887 0.9013
Bi: 0.4287 0.7113 0.4013
Bi: 0.5713 0.2113 0.0987
Bi: 0.9287 0.7887 0.5987
Sb: 0.0155 0.4753 0.2635
Sb: 0.4845 0.5247 0.7635
Sb: 0.5155 0.0247 0.7365
Sb: 0.9845 0.9753 0.2365
F: 0.0105 0.2514 0.6093
F: 0.4895 0.7486 0.1093
F: 0.5105 0.2486 0.3907
F: 0.9895 0.7514 0.8907

Top 10 peaks for 10 to 90 degrees two-theta, most intense first:
2θ (°)	I_rel
32.75	100
29.32	88
35.59	68
17.18	52
46.09	31
32.36	24
52.05	24
42.63	23
34.16	21
58.00	16

Record 4
# HfNbCuBi
Theoretical X-ray powder pattern, CuKα. Input: a cell relaxed with GGA-PBE.
Kinematic intensities with the Lorentz-polarization factor, no thermal factor.

Structural model:
Unit cell a=4.8149 b=4.8149 c=4.8149 alpha=60.00 beta=60.00 gamma=60.00
Element x y z (fractional)
Hf: 0.0000 0.0000 0.0000
Nb: 0.2500 0.2500 0.2500
Cu: 0.7500 0.7500 0.7500
Bi: 0.5000 0.5000 0.5000

Top 10 peaks for 10 to 90 degrees two-theta, most intense first:
2θ (°)	I_rel
37.35	100
67.37	35
26.17	19
53.85	17
79.65	11
60.84	8
46.18	6
85.58	5
22.62	1
44.11	1

Please write out number 1 again, unchanged.
# DyHoCu2Bi4
Theoretical X-ray powder pattern, CuKα. Input: a cell relaxed with GGA-PBE.
Kinematic intensities with the Lorentz-polarization factor, no thermal factor.

Structural model:
Unit cell a=4.5356 b=4.5356 c=9.5889 alpha=90.00 beta=90.00 gamma=90.00
Element x y z (fractional)
Dy: 0.0000 0.0000 0.0000
Ho: 0.5000 0.5000 0.5307
Cu: 0.0000 0.5000 0.7643
Cu: 0.5000 0.0000 0.7643
Bi: 0.0000 0.0000 0.5964
Bi: 0.0000 0.5000 0.2657
Bi: 0.5000 0.0000 0.2657
Bi: 0.5000 0.5000 0.9326

Top 10 peaks for 10 to 90 degrees two-theta, most intense first:
2θ (°)	I_rel
33.62	100
39.75	48
29.37	31
68.25	26
27.90	23
49.27	18
55.83	18
57.47	16
27.06	13
51.75	10